The following is a theoretical powder X-ray diffraction pattern of NdTmMgZn. It was derived from a GGA-PBE-relaxed structure, using Cu Kα (weighted mean of Kα1 and Kα2).

Main lines, sorted by position (10° ≤ 2θ ≤ 80°):
| (hkl) | 2θ/deg | I (rel.) |
| --- | --- | --- |
| 0 0 1 | 11.2 | 23 |
| 0 0 2 | 22.5 | 18 |
| 1 0 0 | 24.7 | 33 |
| 1 0 2 | 33.7 | 100 |
| 1 1 0 | 35.2 | 49 |
| 1 1 2 | 42.2 | 15 |
| 1 0 3 | 42.5 | 14 |
| 2 0 0 | 50.6 | 17 |
| 1 1 4 | 59.2 | 14 |
| 2 1 2 | 62.1 | 34 |

Structural model:
Unit cell a=3.609 b=3.609 c=7.891 alpha=90.00 beta=90.00 gamma=90.00
Sites, in units of the cell vectors:
Nd 0.000 0.000 0.000
Tm 0.000 0.000 0.447
Mg 0.500 0.500 0.709
Zn 0.500 0.500 0.247